Record 1
Calculated XRD peak list
Compound: Tb2Pr3Pt2
Radiation: a wavelength of 1.5418 Å
Structure: a structure optimized by DFT (GGA-PBE)

Structure:
Cell lengths 3.8808, 6.5741, 8.9512 Å; angles 70.84, 77.48, 72.85 degrees
Fractional positions:
Tb: 0.1682 0.4775 0.1849
Tb: 0.8318 0.5225 0.8151
Pr: 0.3867 0.7938 0.4333
Pr: 0.5000 0.0000 0.0000
Pr: 0.6133 0.2062 0.5667
Pt: 0.1783 0.8756 0.7687
Pt: 0.8217 0.1244 0.2313

Main lines, sorted by position (10 to 90 degrees two-theta):
Position (°2θ)  I_rel
30.14  74
31.25  100
31.44  88
32.93  94
33.58  98
34.53  59
37.77  67
46.82  49

***

Record 2
Calculated XRD peak list
Compound: TbPr2Pt
Radiation: a wavelength of 1.5418 Å
Structure: a structure optimized by DFT (GGA-PBE)

Structure:
Cell lengths 6.8139, 6.6542, 11.5759 Å; angles 90.00, 90.00, 90.00 degrees
Fractional positions:
Tb: 0.0557 0.2500 0.2500
Tb: 0.4443 0.7500 0.2500
Tb: 0.5557 0.2500 0.7500
Tb: 0.9443 0.7500 0.7500
Pr: 0.0846 0.2332 0.5856
Pr: 0.0846 0.2668 0.9144
Pr: 0.4154 0.7332 0.9144
Pr: 0.4154 0.7668 0.5856
Pr: 0.5846 0.2332 0.4144
Pr: 0.5846 0.2668 0.0856
Pr: 0.9154 0.7332 0.0856
Pr: 0.9154 0.7668 0.4144
Pt: 0.2500 0.0000 0.0947
Pt: 0.2500 0.5000 0.4053
Pt: 0.7500 0.0000 0.9053
Pt: 0.7500 0.5000 0.5947

Main lines, sorted by position (10 to 90 degrees two-theta):
Position (°2θ)  I_rel
15.36  29
24.21  40
29.45  41
29.81  100
37.79  35
38.08  50
46.39  36
49.23  25

***

Record 3
Calculated XRD peak list
Compound: Tb2Pr2Pt3
Radiation: a wavelength of 1.5418 Å
Structure: a structure optimized by DFT (GGA-PBE)

Structure:
Cell lengths 7.7363, 7.7363, 7.7363 Å; angles 109.47, 109.47, 109.47 degrees
Fractional positions:
Tb: 0.0000 0.8788 0.5000
Tb: 0.5000 0.0000 0.8788
Tb: 0.6212 0.6212 0.6212
Tb: 0.8788 0.5000 0.0000
Pr: 0.0000 0.3743 0.5000
Pr: 0.1257 0.1257 0.1257
Pr: 0.3743 0.5000 0.0000
Pr: 0.5000 0.0000 0.3743
Pt: 0.1139 0.7500 0.8639
Pt: 0.2500 0.6361 0.3861
Pt: 0.3861 0.2500 0.6361
Pt: 0.6361 0.3861 0.2500
Pt: 0.7500 0.8639 0.1139
Pt: 0.8639 0.1139 0.7500

Main lines, sorted by position (10 to 90 degrees two-theta):
Position (°2θ)  I_rel
31.67  100
37.68  54
45.40  16
47.75  13
52.21  26
64.28  26
68.01  11
78.72  20

***

Record 4
Calculated XRD peak list
Compound: PrTl3Pt8
Radiation: a wavelength of 1.5418 Å
Structure: a structure optimized by DFT (GGA-PBE)

Structure:
Cell lengths 9.4639, 9.4639, 9.4639 Å; angles 33.75, 33.75, 33.75 degrees
Fractional positions:
Pr: 0.0000 0.0000 0.0000
Tl: 0.3814 0.3814 0.3814
Tl: 0.5031 0.5031 0.5031
Tl: 0.8722 0.8722 0.8722
Pt: 0.1883 0.1883 0.1883
Pt: 0.4378 0.4378 0.9400
Pt: 0.4380 0.9378 0.9378
Pt: 0.4378 0.9400 0.4378
Pt: 0.6882 0.6882 0.6882
Pt: 0.9378 0.4380 0.9378
Pt: 0.9378 0.9378 0.4380
Pt: 0.9400 0.4378 0.4378

Main lines, sorted by position (10 to 90 degrees two-theta):
Position (°2θ)  I_rel
32.59  17
32.73  16
38.47  100
38.61  33
40.23  42
62.11  17
68.28  20
68.61  19

***

Q: What is the formula in the fourth record?
A: PrTl3Pt8

***

Q: What is the formula in the first record?
A: Tb2Pr3Pt2